# 1
Starting from a cell relaxed with PBE, the XRD peak list of Er2CuB4O10 was computed for Cu Kα (weighted mean of Kα1 and Kα2).
Kinematic intensities with the Lorentz-polarization factor, no thermal factor.

Largest 10 diffraction maxima, in order of rising 2θ, 2θ from 10° to 80°:
Position (°2θ)  I_rel  h k l
19.32  100  1 0 0
22.62  35  0 1 2
26.31  43  0 2 1
29.83  28  1 1 -2
31.24  43  0 1 3
31.39  23  1 2 0
32.85  92  1 2 1
36.89  44  1 1 -3
37.10  48  1 1 3
51.14  22  2 1 3

Atomic structure:
```
data_Er2CuB4O10
_chemical_formula_sum 'Er4 Cu2 B8 O20'
_space_group_name_H-M_alt 'P 1 21/c 1'
_space_group_IT_number 14
_space_group_name_Hall '-P 2ybc'
_cell_length_a 4.5935
_cell_length_b 7.2686
_cell_length_c 9.3446
_cell_angle_alpha 90.00
_cell_angle_beta 90.39
_cell_angle_gamma 90.00
loop_
_atom_site_label
_atom_site_type_symbol
_atom_site_fract_x
_atom_site_fract_y
_atom_site_fract_z
_atom_site_occupancy
Er1 Er 0.0037 0.1040 0.1650 1
Cu1 Cu 0.0000 0.0000 0.5000 1
B1 B 0.4606 0.7317 0.5804 1
B2 B 0.4718 0.0984 0.6624 1
O1 O 0.2142 0.5894 0.8336 1
O2 O 0.2287 0.6109 0.5418 1
O3 O 0.3226 0.5879 0.1382 1
O4 O 0.3420 0.1648 0.8008 1
O5 O 0.3585 0.2227 0.5478 1
```

# 2
Starting from a cell relaxed with PBE, the XRD peak list of KTcCl3 was computed for Cu Kα (weighted mean of Kα1 and Kα2).
Kinematic intensities with the Lorentz-polarization factor, no thermal factor.

Largest 10 diffraction maxima, in order of rising 2θ, 2θ from 10° to 80°:
Position (°2θ)  I_rel  h k l
12.13  100  1 1 0
12.38  50  0 2 0
15.84  29  0 2 1
21.38  16  1 3 0
24.35  18  1 1 2
27.07  47  2 0 -2
31.98  15  0 4 2
33.24  23  2 2 2
33.51  15  1 1 3
34.96  23  1 5 1

Atomic structure:
```
data_KTcCl3
_chemical_formula_sum 'K8 Tc8 Cl24'
_space_group_name_H-M_alt 'C 1 c 1'
_space_group_IT_number 9
_space_group_name_Hall 'C -2yc'
_cell_length_a 8.5443
_cell_length_b 14.3020
_cell_length_c 9.0602
_cell_angle_alpha 90.00
_cell_angle_beta 97.09
_cell_angle_gamma 90.00
loop_
_atom_site_label
_atom_site_type_symbol
_atom_site_fract_x
_atom_site_fract_y
_atom_site_fract_z
_atom_site_occupancy
K1 K 0.0000 0.1663 0.0000 1
K2 K 0.0576 0.1674 0.4971 1
Tc1 Tc 0.1243 0.4504 0.1717 1
Tc2 Tc 0.4467 0.0481 0.8128 1
Cl1 Cl 0.0900 0.3981 0.5471 1
Cl2 Cl 0.2207 0.0137 0.1606 1
Cl3 Cl 0.2456 0.2974 0.2079 1
Cl4 Cl 0.3196 0.1997 0.7826 1
Cl5 Cl 0.3561 0.4881 0.8157 1
Cl6 Cl 0.4847 0.1036 0.4365 1
```

# 3
Starting from a cell relaxed with PBE, the XRD peak list of ZrCo6Ge6 was computed for Cu Kα (weighted mean of Kα1 and Kα2).
Kinematic intensities with the Lorentz-polarization factor, no thermal factor.

Largest 10 diffraction maxima, in order of rising 2θ, 2θ from 10° to 80°:
Position (°2θ)  I_rel  h k l
35.38  72  1 1 0
40.40  33  1 0 3
41.08  58  2 0 0
42.55  100  1 1 2
46.72  27  0 0 4
47.53  84  2 0 2
50.32  17  1 1 3
51.39  21  1 0 4
68.45  23  3 0 2
74.85  36  2 2 0

Atomic structure:
```
data_ZrCo6Ge6
_chemical_formula_sum 'Zr1 Co6 Ge6'
_space_group_name_H-M_alt 'P 6/m m m'
_space_group_IT_number 191
_space_group_name_Hall '-P 6 2'
_cell_length_a 5.0741
_cell_length_b 5.0741
_cell_length_c 7.7767
_cell_angle_alpha 90.00
_cell_angle_beta 90.00
_cell_angle_gamma 120.00
loop_
_atom_site_label
_atom_site_type_symbol
_atom_site_fract_x
_atom_site_fract_y
_atom_site_fract_z
_atom_site_occupancy
Zr1 Zr 0.0000 0.0000 0.0000 1
Co1 Co 0.0000 0.5000 0.2500 1
Ge1 Ge 0.0000 0.0000 0.3401 1
Ge2 Ge 0.3333 0.6667 0.0000 1
Ge3 Ge 0.3333 0.6667 0.5000 1
```